# AcNd7Al4
Computed X-ray diffraction stick pattern, Cu Kα X-rays. Input: a crystal structure in Alexandria, relaxed with GGA-PBE.
Peak positions follow from Bragg's law for the DFT cell and can differ from measured ones.

Structure:
abc: 13.9804 5.8761 10.8824
angles: 90.00 124.67 90.00
Space group C2/m (No. 12)
Symmetry-distinct sites (fractional):
Ac 0.0000 0.0000 0.0000
Nd 0.0000 0.5000 0.0000
Nd 0.0647 0.0000 0.3857
Nd 0.1944 0.5000 0.6321
Nd 0.2100 0.0000 0.8784
Al 0.0506 0.5000 0.7598
Al 0.1784 0.5000 0.3302

The 10 most intense peaks (10 to 90 degrees two-theta), in order of rising 2θ:
| 2theta | intensity |
| --- | --- |
| 22.57 | 53 |
| 26.64 | 67 |
| 28.32 | 57 |
| 29.43 | 78 |
| 29.61 | 70 |
| 30.42 | 100 |
| 33.86 | 31 |
| 37.66 | 34 |
| 40.87 | 43 |
| 42.05 | 39 |



# AcNd2Al4
Computed X-ray diffraction stick pattern, Cu Kα X-rays. Input: a crystal structure in Alexandria, relaxed with GGA-PBE.
Peak positions follow from Bragg's law for the DFT cell and can differ from measured ones.

Structure:
abc: 4.3987 4.6058 19.3657
angles: 90.00 90.00 90.00
Space group Immm (No. 71)
Symmetry-distinct sites (fractional):
Ac 0.0000 0.0000 0.0000
Nd 0.0000 0.5000 0.3143
Al 0.0000 0.0000 0.4317
Al 0.0000 0.5000 0.1436

The 10 most intense peaks (10 to 90 degrees two-theta), in order of rising 2θ:
| 2theta | intensity |
| --- | --- |
| 19.81 | 36 |
| 24.49 | 66 |
| 27.64 | 25 |
| 29.56 | 100 |
| 30.15 | 59 |
| 33.71 | 24 |
| 46.69 | 24 |
| 47.18 | 23 |
| 51.76 | 26 |
| 55.96 | 25 |



# Ac12AlNi6
Computed X-ray diffraction stick pattern, Cu Kα X-rays. Input: a crystal structure in Alexandria, relaxed with GGA-PBE.
Peak positions follow from Bragg's law for the DFT cell and can differ from measured ones.

Structure:
abc: 10.6522 10.6522 10.6522
angles: 90.00 90.00 90.00
Space group Im-3 (No. 204)
Symmetry-distinct sites (fractional):
Ac 0.0000 0.1811 0.3102
Al 0.0000 0.0000 0.0000
Ni 0.0000 0.3816 0.5000

The 10 most intense peaks (10 to 90 degrees two-theta), in order of rising 2θ:
| 2theta | intensity |
| --- | --- |
| 26.46 | 69 |
| 29.04 | 31 |
| 31.42 | 100 |
| 43.31 | 19 |
| 49.92 | 49 |
| 51.47 | 18 |
| 52.99 | 35 |
| 74.53 | 18 |
| 75.77 | 18 |
| 77.01 | 18 |



# Ac2AlNiS6
Computed X-ray diffraction stick pattern, Cu Kα X-rays. Input: a crystal structure in Alexandria, relaxed with GGA-PBE.
Peak positions follow from Bragg's law for the DFT cell and can differ from measured ones.

Structure:
abc: 6.6016 9.2942 6.6707
angles: 90.00 90.00 90.00
Space group Pmmn (No. 59, origin choice 2)
Symmetry-distinct sites (fractional):
Ac 0.2500 0.0000 0.2412
Al 0.2500 0.2500 0.7380
Ni 0.2500 0.7500 0.7518
S 0.0010 0.7500 0.9917
S 0.0080 0.7500 0.5013
S 0.2500 0.5033 0.7730

The 10 most intense peaks (10 to 90 degrees two-theta), in order of rising 2θ:
| 2theta | intensity |
| --- | --- |
| 18.91 | 31 |
| 26.73 | 20 |
| 27.01 | 100 |
| 33.06 | 33 |
| 33.29 | 32 |
| 38.37 | 39 |
| 38.75 | 19 |
| 47.37 | 18 |
| 47.71 | 27 |
| 55.68 | 32 |



# AcNp2Al9
Computed X-ray diffraction stick pattern, Cu Kα X-rays. Input: a crystal structure in Alexandria, relaxed with GGA-PBE.
Peak positions follow from Bragg's law for the DFT cell and can differ from measured ones.

Structure:
abc: 5.6176 5.6176 26.5561
angles: 90.00 90.00 120.00
Space group R-3m (No. 166, hexagonal axes)
Symmetry-distinct sites (fractional):
Ac 0.0000 0.0000 0.0000
Np 0.0000 0.0000 0.1444
Al 0.0000 0.0000 0.3354
Al 0.0000 0.0000 0.5000
Al 0.0074 0.5037 0.9151

The 10 most intense peaks (10 to 90 degrees two-theta), in order of rising 2θ:
| 2theta | intensity |
| --- | --- |
| 18.54 | 100 |
| 20.06 | 34 |
| 29.87 | 89 |
| 31.86 | 86 |
| 32.66 | 42 |
| 37.11 | 40 |
| 37.94 | 95 |
| 55.54 | 33 |
| 60.83 | 24 |
| 62.01 | 27 |



# Ac2NpAlRh6
Computed X-ray diffraction stick pattern, Cu Kα X-rays. Input: a crystal structure in Alexandria, relaxed with GGA-PBE.
Peak positions follow from Bragg's law for the DFT cell and can differ from measured ones.

Structure:
abc: 6.3395 6.3622 6.9429
angles: 114.41 95.87 115.79
Space group P-1 (No. 2)
Symmetry-distinct sites (fractional):
Ac 0.2201 0.0760 0.2948
Np 0.5000 0.5000 0.0000
Al 0.0000 0.5000 0.5000
Rh 0.2393 0.6505 0.8908
Rh 0.2674 0.6037 0.2758
Rh 0.3258 0.9913 0.7264

The 10 most intense peaks (10 to 90 degrees two-theta), in order of rising 2θ:
| 2theta | intensity |
| --- | --- |
| 16.52 | 48 |
| 25.95 | 100 |
| 26.40 | 48 |
| 28.91 | 90 |
| 33.16 | 60 |
| 33.40 | 81 |
| 40.29 | 51 |
| 40.82 | 58 |
| 42.90 | 49 |
| 53.36 | 49 |



# AcAl2O4
Computed X-ray diffraction stick pattern, Cu Kα X-rays. Input: a crystal structure in Alexandria, relaxed with GGA-PBE.
Peak positions follow from Bragg's law for the DFT cell and can differ from measured ones.

Structure:
abc: 7.2359 7.2359 7.9436
angles: 90.00 90.00 90.00
Space group I-42d (No. 122)
Symmetry-distinct sites (fractional):
Ac 0.0000 0.0000 0.0000
Al 0.0821 0.2500 0.6250
O 0.0677 0.7455 0.8108

The 10 most intense peaks (10 to 90 degrees two-theta), in order of rising 2θ:
| 2theta | intensity |
| --- | --- |
| 16.57 | 72 |
| 24.61 | 41 |
| 28.45 | 78 |
| 29.81 | 100 |
| 36.12 | 19 |
| 44.20 | 26 |
| 45.76 | 45 |
| 46.68 | 21 |
| 58.90 | 24 |
| 70.45 | 18 |



# AcAl4O7
Computed X-ray diffraction stick pattern, Cu Kα X-rays. Input: a crystal structure in Alexandria, relaxed with GGA-PBE.
Peak positions follow from Bragg's law for the DFT cell and can differ from measured ones.

Structure:
abc: 13.2346 5.3226 4.9550
angles: 90.00 90.00 90.00
Space group Pmn2_1 (No. 31)
Symmetry-distinct sites (fractional):
Ac 0.0000 0.1691 0.0000
Al 0.1201 0.6752 0.3486
Al 0.2462 0.8257 0.8299
O 0.0000 0.7363 0.2035
O 0.1295 0.7581 0.6868
O 0.1515 0.3688 0.2393
O 0.2118 0.8809 0.1780

The 10 most intense peaks (10 to 90 degrees two-theta), in order of rising 2θ:
| 2theta | intensity |
| --- | --- |
| 13.38 | 47 |
| 17.96 | 38 |
| 19.13 | 100 |
| 24.55 | 52 |
| 25.47 | 36 |
| 26.24 | 58 |
| 27.06 | 62 |
| 28.06 | 98 |
| 31.88 | 36 |
| 40.79 | 70 |



# AcAlOsO6
Computed X-ray diffraction stick pattern, Cu Kα X-rays. Input: a crystal structure in Alexandria, relaxed with GGA-PBE.
Peak positions follow from Bragg's law for the DFT cell and can differ from measured ones.

Structure:
abc: 5.1386 5.1386 5.3760
angles: 90.00 90.00 120.00
Space group P312 (No. 149)
Symmetry-distinct sites (fractional):
Ac 0.0000 0.0000 0.0000
Al 0.3333 0.6667 0.5000
Os 0.6667 0.3333 0.5000
O 0.0029 0.3820 0.7004

The 10 most intense peaks (10 to 90 degrees two-theta), in order of rising 2θ:
| 2theta | intensity |
| --- | --- |
| 19.95 | 20 |
| 25.99 | 100 |
| 34.92 | 27 |
| 39.15 | 9 |
| 44.05 | 23 |
| 49.05 | 31 |
| 55.26 | 12 |
| 57.40 | 23 |
| 77.89 | 9 |
| 79.71 | 9 |



# Ac3Al2PbO9
Computed X-ray diffraction stick pattern, Cu Kα X-rays. Input: a crystal structure in Alexandria, relaxed with GGA-PBE.
Peak positions follow from Bragg's law for the DFT cell and can differ from measured ones.

Structure:
abc: 5.6507 5.6507 7.4190
angles: 90.00 90.00 120.00
Space group P-3m1 (No. 164)
Symmetry-distinct sites (fractional):
Ac 0.0000 0.0000 0.0000
Ac 0.3333 0.6667 0.7146
Al 0.3333 0.6667 0.1600
Pb 0.0000 0.0000 0.5000
O 0.0000 0.5000 0.0000
O 0.1730 0.3460 0.2942

The 10 most intense peaks (10 to 90 degrees two-theta), in order of rising 2θ:
| 2theta | intensity |
| --- | --- |
| 21.76 | 49 |
| 30.23 | 100 |
| 31.67 | 83 |
| 38.75 | 24 |
| 44.35 | 51 |
| 55.52 | 37 |
| 56.41 | 17 |
| 59.63 | 16 |
| 66.15 | 15 |
| 74.43 | 17 |



# AcPuAlO6
Computed X-ray diffraction stick pattern, Cu Kα X-rays. Input: a crystal structure in Alexandria, relaxed with GGA-PBE.
Peak positions follow from Bragg's law for the DFT cell and can differ from measured ones.

Structure:
abc: 5.3071 5.3071 5.4246
angles: 90.00 90.00 120.00
Space group P312 (No. 149)
Symmetry-distinct sites (fractional):
Ac 0.0000 0.0000 0.0000
Pu 0.3333 0.6667 0.5000
Al 0.6667 0.3333 0.5000
O 0.3794 0.0182 0.7036

The 10 most intense peaks (10 to 90 degrees two-theta), in order of rising 2θ:
| 2theta | intensity |
| --- | --- |
| 19.31 | 21 |
| 25.40 | 100 |
| 33.78 | 29 |
| 38.54 | 10 |
| 42.73 | 25 |
| 47.96 | 32 |
| 54.54 | 12 |
| 55.55 | 24 |
| 75.96 | 10 |
| 76.82 | 10 |



# Ac3Al2RuO9
Computed X-ray diffraction stick pattern, Cu Kα X-rays. Input: a crystal structure in Alexandria, relaxed with GGA-PBE.
Peak positions follow from Bragg's law for the DFT cell and can differ from measured ones.

Structure:
abc: 5.5514 5.5514 6.8459
angles: 90.00 90.00 120.00
Space group P-3m1 (No. 164)
Symmetry-distinct sites (fractional):
Ac 0.0000 0.0000 0.0000
Ac 0.3333 0.6667 0.6638
Al 0.3333 0.6667 0.1575
Ru 0.0000 0.0000 0.5000
O 0.0000 0.5000 0.0000
O 0.1728 0.3456 0.3231

The 10 most intense peaks (10 to 90 degrees two-theta), in order of rising 2θ:
| 2theta | intensity |
| --- | --- |
| 22.60 | 80 |
| 32.10 | 100 |
| 32.25 | 98 |
| 39.74 | 41 |
| 46.14 | 57 |
| 51.87 | 20 |
| 52.07 | 20 |
| 57.13 | 21 |
| 57.45 | 60 |
| 76.45 | 18 |



Repeat the eleventh record exactly.
# AcPuAlO6
Computed X-ray diffraction stick pattern, Cu Kα X-rays. Input: a crystal structure in Alexandria, relaxed with GGA-PBE.
Peak positions follow from Bragg's law for the DFT cell and can differ from measured ones.

Structure:
abc: 5.3071 5.3071 5.4246
angles: 90.00 90.00 120.00
Space group P312 (No. 149)
Symmetry-distinct sites (fractional):
Ac 0.0000 0.0000 0.0000
Pu 0.3333 0.6667 0.5000
Al 0.6667 0.3333 0.5000
O 0.3794 0.0182 0.7036

The 10 most intense peaks (10 to 90 degrees two-theta), in order of rising 2θ:
| 2theta | intensity |
| --- | --- |
| 19.31 | 21 |
| 25.40 | 100 |
| 33.78 | 29 |
| 38.54 | 10 |
| 42.73 | 25 |
| 47.96 | 32 |
| 54.54 | 12 |
| 55.55 | 24 |
| 75.96 | 10 |
| 76.82 | 10 |